No. 1
For K2Al2Si3O12, a cell relaxed with GGA-PBE gives the calculated PXRD pattern in this record (Cu Kα).
Neutral-atom scattering factors, no anomalous dispersion.

Cell and atoms:
Cell lengths 18.966, 19.229, 6.766 Å; angles 90.00, 90.00, 90.00 degrees
Space group Fdd2 (No. 43)
Asymmetric unit:
K: 0.016 0.268 0.000 x16
Al: 0.043 0.089 0.757 x16
Si: 0.000 0.000 0.148 x8
Si: 0.090 0.455 0.016 x16
O: 0.028 0.063 0.005 x16
O: 0.036 0.400 0.123 x16
O: 0.064 0.471 0.788 x16
O: 0.078 0.143 0.215 x16
O: 0.080 0.173 0.755 x16
O: 0.097 0.028 0.640 x16

Peak list (10 most intense, 5 to 70 degrees two-theta, sorted by position)
index  Position (°2θ)  intensity
2 2 0  13.11  44
1 1 1  14.64  100
1 3 1  19.64  38
3 1 1  19.77  52
0 2 2  27.98  36
2 2 2  29.53  44
3 5 1  30.24  69
5 3 1  30.40  67
2 4 2  33.75  50
4 2 2  33.87  49


No. 2
For MgSi2, a cell relaxed with GGA-PBE gives the calculated PXRD pattern in this record (Cu Kα).
Neutral-atom scattering factors, no anomalous dispersion.

Cell and atoms:
Cell lengths 9.834, 3.732, 6.465 Å; angles 90.00, 102.22, 90.00 degrees
Space group P2_1/c (No. 14)
Asymmetric unit:
Mg: 0.250 0.008 0.084 x4
Si: 0.052 0.509 0.850 x4
Si: 0.447 0.502 0.316 x4

Peak list (10 most intense, 5 to 70 degrees two-theta, sorted by position)
index  Position (°2θ)  intensity
2 0 0  18.46  32
0 1 1  27.77  21
1 1 1  30.26  59
2 0 -2  30.39  29
2 1 1  35.23  83
3 0 -2  35.43  42
4 0 0  37.44  39
3 0 2  44.33  30
4 1 -1  44.59  59
1 1 -3  48.80  100


No. 3
For Cs2RbTaF6, a cell relaxed with GGA-PBE gives the calculated PXRD pattern in this record (Cu Kα).
Neutral-atom scattering factors, no anomalous dispersion.

Cell and atoms:
Cell lengths 9.616, 9.616, 9.616 Å; angles 90.00, 90.00, 90.00 degrees
Space group Fm-3m (No. 225)
Asymmetric unit:
Cs: 0.250 0.250 0.250 x8
Rb: 0.000 0.000 0.000 x4
Ta: 0.000 0.000 0.500 x4
F: 0.000 0.000 0.282 x24

Peak list (10 most intense, 5 to 70 degrees two-theta, sorted by position)
index  Position (°2θ)  intensity
1 1 1  15.96  12
2 2 0  26.21  100
3 1 1  30.84  4
4 0 0  37.41  32
4 2 2  46.25  41
5 1 1  49.24  3
4 4 0  53.94  21
5 3 1  56.63  2
6 2 0  60.94  21
4 4 4  67.48  7